Diffraction record for Pm5NdZn6. The X-ray diffraction stick pattern is calculated, not measured: it uses a cell relaxed with GGA-PBE and CuKα.
Intensities are scaled so that the largest is 100.

a = 8.1886 Å, b = 8.1886 Å, c = 7.3384 Å
α = 90.00°, β = 90.00°, γ = 143.18°
Fractional positions:
Pm: 0.0000 0.0000 0.0000
Pm: 0.3331 0.6669 0.5000
Pm: 0.3337 0.6663 0.0000
Pm: 0.6663 0.3337 0.0000
Pm: 0.6669 0.3331 0.5000
Nd: 0.0000 0.0000 0.5000
Zn: 0.1673 0.8327 0.2489
Zn: 0.1673 0.8327 0.7511
Zn: 0.5000 0.5000 0.2488
Zn: 0.5000 0.5000 0.7512
Zn: 0.8327 0.1673 0.2489
Zn: 0.8327 0.1673 0.7511

Main lines, in order of rising 2θ (2θ = 10–90°):
| Position (°2θ) | I (rel.) |
| --- | --- |
| 24.3 | 15 |
| 34.6 | 100 |
| 42.8 | 4 |
| 49.7 | 6 |
| 49.8 | 12 |
| 56.1 | 5 |
| 62.0 | 24 |
| 62.1 | 12 |
| 73.0 | 9 |
| 78.3 | 2 |
| 83.3 | 5 |
| 83.5 | 10 |